Simulated X-ray diffraction stick pattern
Compound: Ca3Sc3N5
Radiation: Cu Kα, 1.54184 Å
Structure: a structure optimized by DFT (GGA-PBE)
Peak positions follow from Bragg's law for the DFT cell and can differ from measured ones.

Main lines, in order of rising 2θ (10° ≤ 2θ ≤ 90°):
d [Å], 2theta, I (rel.)
2.976, 30.03, 32
2.877, 31.09, 100
2.852, 31.37, 41
2.821, 31.72, 97
2.803, 31.93, 88
2.682, 33.41, 27
2.446, 36.74, 34
2.245, 40.16, 34
2.084, 43.42, 27
1.911, 47.59, 31

Cell and atoms:
```
Ca3Sc3N5
1.0
6.193 0.000 0.000
-0.940 7.321 0.000
-2.800 -2.824 7.841
Ca Sc N
6 6 10
direct
0.155 0.105 0.198
0.186 0.342 0.888
0.297 0.935 0.589
0.703 0.065 0.411
0.814 0.658 0.112
0.845 0.895 0.802
0.230 0.454 0.568
0.331 0.637 0.278
0.383 0.804 0.960
0.617 0.196 0.040
0.669 0.363 0.722
0.770 0.546 0.432
0.080 0.601 0.390
0.181 0.765 0.100
0.275 0.021 0.864
0.366 0.206 0.499
0.498 0.577 0.815
0.502 0.423 0.185
0.634 0.794 0.501
0.725 0.979 0.136
0.819 0.235 0.900
0.920 0.399 0.610
```


Simulated X-ray diffraction stick pattern
Compound: Ca3ScN3
Radiation: Cu Kα, 1.54184 Å
Structure: a structure optimized by DFT (GGA-PBE)
Peak positions follow from Bragg's law for the DFT cell and can differ from measured ones.

Main lines, in order of rising 2θ (10° ≤ 2θ ≤ 90°):
d [Å], 2theta, I (rel.)
3.988, 22.29, 34
3.273, 27.24, 50
3.022, 29.56, 73
2.743, 32.64, 100
2.515, 35.70, 91
2.474, 36.31, 55
2.182, 41.38, 66
1.816, 50.25, 36
1.764, 51.84, 34
1.648, 55.78, 49

Cell and atoms:
```
Ca3ScN3
1.0
7.559 0.000 0.000
-3.780 6.546 0.000
0.000 0.000 5.029
Ca Sc N
6 2 6
direct
0.066 0.331 0.250
0.265 0.934 0.250
0.331 0.265 0.750
0.669 0.735 0.250
0.735 0.066 0.750
0.934 0.669 0.750
0.333 0.667 0.750
0.667 0.333 0.250
0.082 0.376 0.750
0.294 0.918 0.750
0.376 0.294 0.250
0.624 0.706 0.750
0.706 0.082 0.250
0.918 0.624 0.250
```


Simulated X-ray diffraction stick pattern
Compound: Ca5Si2N6
Radiation: Cu Kα, 1.54184 Å
Structure: a structure optimized by DFT (GGA-PBE)
Peak positions follow from Bragg's law for the DFT cell and can differ from measured ones.

Main lines, in order of rising 2θ (10° ≤ 2θ ≤ 90°):
d [Å], 2theta, I (rel.)
4.929, 18.00, 24
3.144, 28.39, 30
2.734, 32.76, 48
2.696, 33.24, 100
2.552, 35.16, 90
2.459, 36.54, 80
2.449, 36.69, 41
1.968, 46.13, 27
1.721, 53.21, 29
1.638, 56.14, 32

Cell and atoms:
```
Ca5Si2N6
1.0
4.931 -3.036 0.000
4.931 3.036 0.000
-2.253 0.000 12.577
Ca Si N
10 4 12
direct
0.118 0.882 0.750
0.176 0.695 0.001
0.261 0.432 0.284
0.305 0.824 0.499
0.432 0.261 0.784
0.568 0.739 0.216
0.695 0.176 0.501
0.739 0.568 0.716
0.824 0.305 0.999
0.882 0.118 0.250
0.147 0.407 0.576
0.407 0.147 0.076
0.593 0.853 0.924
0.853 0.593 0.424
0.109 0.193 0.648
0.156 0.293 0.438
0.193 0.109 0.148
0.293 0.156 0.938
0.398 0.485 0.627
0.485 0.398 0.127
0.515 0.602 0.873
0.602 0.515 0.373
0.707 0.844 0.062
0.807 0.891 0.852
0.844 0.707 0.562
0.891 0.807 0.352
```


Simulated X-ray diffraction stick pattern
Compound: Ca5Si2N6
Radiation: Cu Kα, 1.54184 Å
Structure: a structure optimized by DFT (GGA-PBE)
Peak positions follow from Bragg's law for the DFT cell and can differ from measured ones.

Main lines, in order of rising 2θ (10° ≤ 2θ ≤ 90°):
d [Å], 2theta, I (rel.)
4.243, 20.94, 17
3.118, 28.63, 18
2.978, 30.00, 19
2.914, 30.68, 16
2.726, 32.86, 44
2.637, 33.99, 20
2.565, 34.98, 100
2.340, 38.47, 30
2.299, 39.18, 16
2.013, 45.04, 17

Cell and atoms:
```
Ca5Si2N6
1.0
3.137 -5.030 0.000
3.137 5.030 0.000
-1.914 0.000 11.906
Ca Si N
10 4 12
direct
0.089 0.089 0.707
0.187 0.813 0.000
0.242 0.758 0.500
0.268 0.619 0.238
0.381 0.732 0.762
0.619 0.268 0.238
0.732 0.381 0.762
0.758 0.242 0.500
0.813 0.187 0.000
0.911 0.911 0.293
0.325 0.325 0.432
0.351 0.351 0.925
0.649 0.649 0.075
0.675 0.675 0.568
0.054 0.343 0.373
0.096 0.389 0.862
0.343 0.054 0.373
0.356 0.356 0.074
0.389 0.096 0.862
0.391 0.391 0.585
0.609 0.609 0.415
0.611 0.904 0.138
0.644 0.644 0.926
0.657 0.946 0.627
0.904 0.611 0.138
0.946 0.657 0.627
```


Simulated X-ray diffraction stick pattern
Compound: CaSi7N10
Radiation: Cu Kα, 1.54184 Å
Structure: a structure optimized by DFT (GGA-PBE)
Peak positions follow from Bragg's law for the DFT cell and can differ from measured ones.

Main lines, in order of rising 2θ (10° ≤ 2θ ≤ 90°):
d [Å], 2theta, I (rel.)
6.613, 13.39, 40
5.498, 16.12, 35
4.597, 19.31, 65
3.405, 26.17, 83
3.051, 29.27, 94
2.987, 29.91, 56
2.830, 31.61, 100
2.410, 37.31, 61
2.271, 39.68, 60
1.390, 67.35, 34

Cell and atoms:
```
CaSi7N10
1.0
6.860 0.000 0.000
0.000 6.808 0.000
-2.572 0.000 9.325
Ca Si N
2 14 20
direct
0.000 0.005 0.000
0.000 0.995 0.500
0.201 0.396 0.453
0.201 0.604 0.953
0.387 0.379 0.762
0.387 0.621 0.262
0.444 0.025 0.396
0.444 0.975 0.896
0.574 0.371 0.066
0.574 0.629 0.566
0.631 0.024 0.705
0.631 0.976 0.205
0.753 0.370 0.370
0.753 0.630 0.870
0.940 0.373 0.689
0.940 0.627 0.189
0.168 0.423 0.817
0.168 0.577 0.317
0.248 0.163 0.409
0.248 0.837 0.909
0.376 0.498 0.603
0.376 0.502 0.103
0.415 0.130 0.745
0.415 0.870 0.245
0.545 0.118 0.050
0.545 0.882 0.550
0.586 0.462 0.902
0.586 0.538 0.402
0.659 0.134 0.355
0.659 0.866 0.855
0.792 0.422 0.202
0.792 0.578 0.702
0.846 0.149 0.712
0.846 0.851 0.212
0.975 0.376 0.510
0.975 0.624 0.010
```


Simulated X-ray diffraction stick pattern
Compound: Ca2SnN2
Radiation: Cu Kα, 1.54184 Å
Structure: a structure optimized by DFT (GGA-PBE)
Peak positions follow from Bragg's law for the DFT cell and can differ from measured ones.

Main lines, in order of rising 2θ (10° ≤ 2θ ≤ 90°):
d [Å], 2theta, I (rel.)
5.639, 15.72, 61
4.130, 21.52, 37
3.700, 24.05, 69
2.712, 33.03, 78
2.565, 34.98, 71
2.557, 35.10, 43
2.543, 35.29, 100
2.144, 42.14, 38
1.811, 50.40, 30
1.477, 62.94, 19

Cell and atoms:
```
Ca2SnN2
1.0
2.565 -5.639 0.000
2.565 5.639 0.000
0.000 0.000 12.130
Ca Sn N
8 4 8
direct
0.039 0.961 0.862
0.138 0.862 0.454
0.362 0.638 0.954
0.461 0.539 0.362
0.539 0.461 0.638
0.638 0.362 0.046
0.862 0.138 0.546
0.961 0.039 0.138
0.243 0.757 0.686
0.257 0.743 0.186
0.743 0.257 0.814
0.757 0.243 0.314
0.062 0.938 0.641
0.151 0.849 0.045
0.349 0.651 0.545
0.438 0.562 0.141
0.562 0.438 0.859
0.651 0.349 0.455
0.849 0.151 0.955
0.938 0.062 0.359
```


Simulated X-ray diffraction stick pattern
Compound: Ca2SnN2
Radiation: Cu Kα, 1.54184 Å
Structure: a structure optimized by DFT (GGA-PBE)
Peak positions follow from Bragg's law for the DFT cell and can differ from measured ones.

Main lines, in order of rising 2θ (10° ≤ 2θ ≤ 90°):
d [Å], 2theta, I (rel.)
6.337, 13.98, 26
4.493, 19.76, 23
3.981, 22.33, 65
2.812, 31.82, 100
2.794, 32.04, 98
2.509, 35.79, 64
2.454, 36.61, 56
2.330, 38.65, 55
1.754, 52.13, 38
1.707, 53.69, 36

Cell and atoms:
```
Ca2SnN2
1.0
5.414 -2.509 0.000
5.414 2.509 0.000
-2.467 0.000 6.337
Ca Sn N
4 2 4
direct
0.009 0.009 0.242
0.332 0.335 0.918
0.665 0.668 0.082
0.991 0.991 0.758
0.322 0.349 0.408
0.651 0.678 0.592
0.174 0.171 0.093
0.496 0.494 0.278
0.506 0.504 0.722
0.829 0.826 0.907
```


Simulated X-ray diffraction stick pattern
Compound: Sr2CaN2
Radiation: Cu Kα, 1.54184 Å
Structure: a structure optimized by DFT (GGA-PBE)
Peak positions follow from Bragg's law for the DFT cell and can differ from measured ones.

Main lines, in order of rising 2θ (10° ≤ 2θ ≤ 90°):
d [Å], 2theta, I (rel.)
4.763, 18.63, 43
3.112, 28.68, 100
2.709, 33.07, 84
2.286, 39.42, 35
1.930, 47.10, 22
1.901, 47.85, 36
1.766, 51.78, 17
1.649, 55.75, 18
1.622, 56.74, 15
1.556, 59.40, 14

Cell and atoms:
```
Sr2CaN2
1.0
3.802 0.000 0.000
-1.901 3.293 0.000
0.000 0.000 9.526
Sr Ca N
2 1 2
direct
0.333 0.667 0.283
0.667 0.333 0.717
0.000 0.000 0.000
0.333 0.667 0.837
0.667 0.333 0.163
```